# Sm6Al2Tl
Calculated powder XRD pattern, CuKα. Input: a cell relaxed with GGA-PBE.
Lines closer than 0.1° are merged.

Principal peaks in the range 2θ from 5° to 70°, in order of falling intensity:
- 2.594 Å, rel. 100
- 3.670 Å, rel. 31
- 1.496 Å, rel. 29
- 2.588 Å, rel. 20
- 3.660 Å, rel. 16
- 1.499 Å, rel. 15
- 1.831 Å, rel. 14
- 4.234 Å, rel. 14
- 2.117 Å, rel. 14
- 1.638 Å, rel. 11

```
Sm6Al2Tl
1.0
8.1885 -3.6770 0.0000
8.1885 3.6770 0.0000
-1.6306 0.0000 4.9121
Sm Al Tl
6 2 1
Direct
0.0751 0.5847 0.3300
0.2403 0.7597 0.0000
0.4153 0.9249 0.6700
0.5847 0.0751 0.3300
0.7597 0.2403 0.0000
0.9249 0.4153 0.6700
0.1676 0.1676 0.1674
0.8324 0.8324 0.8326
0.5000 0.5000 0.5000
```